# TbCr2O8
Theoretical powder diffraction line list, Cu Kα (weighted mean of Kα1 and Kα2). Input: a structure optimized by DFT (GGA+U).
No peak broadening, texture or thermal motion is included.

Top 12 peaks for 2θ = 10–80°, in order of falling intensity:
- 31.16°, I = 100
- 20.46°, I = 92
- 50.28°, I = 45
- 30.18°, I = 35
- 43.87°, I = 25
- 64.94°, I = 25
- 49.58°, I = 18
- 55.39°, I = 18
- 55.55°, I = 17
- 59.74°, I = 15
- 43.99°, I = 13
- 73.24°, I = 8

Cell and atoms:
```
data_TbCr2O8
_chemical_formula_sum 'Tb2 Cr4 O16'
_space_group_name_H-M_alt 'I 4/m m m'
_space_group_IT_number 139
_space_group_name_Hall '-I 4 2'
_cell_length_a 4.691
_cell_length_b 4.691
_cell_length_c 11.453
_cell_angle_alpha 90.00
_cell_angle_beta 90.00
_cell_angle_gamma 90.00
loop_
_atom_site_label
_atom_site_fract_x
_atom_site_fract_y
_atom_site_fract_z
_atom_site_occupancy
Tb1 0.000 0.000 0.000 1
Cr1 0.000 0.500 0.250 1
O1 0.250 0.250 0.145 1
```